Starting from a structure optimized by DFT (GGA-PBE), the XRD peak list of ThInTe2N was simulated for Cu Kα (λ = 1.5418 Å).

Principal peaks in the range 10 to 90 degrees two-theta, sorted by position:
- 26.87 deg, d 3.318, rel. 946, hkl 1 0 3
- 30.76 deg, d 2.907, rel. 1000, hkl 1 1 0
- 34.39 deg, d 2.608, rel. 702, hkl 1 0 5
- 44.06 deg, d 2.055, rel. 409, hkl 2 0 0
- 52.36 deg, d 1.747, rel. 308, hkl 2 1 3
- 57.06 deg, d 1.614, rel. 329, hkl 2 1 5

Crystal structure
Lattice parameters (Å, degrees): 4.111 4.111 16.868 90.00 90.00 90.00
Space group P4/nmm (No. 129, origin choice 2)
Inequivalent atoms, fractional coordinates:
Th 0.250 0.250 0.069
In 0.250 0.250 0.650
Te 0.250 0.250 0.405
Te 0.250 0.250 0.819
N 0.250 0.750 0.000